Record 1
Theoretical PXRD pattern
Compound: La3Pr4Cd
Radiation: Cu Ka
Structure: a PBE-relaxed structure
Intensities are scaled so that the largest is 100.

Peak list (8 most intense, 10 to 90 degrees two-theta, in order of falling intensity)
| 2θ/deg | I_rel |
| --- | --- |
| 30.62 | 100.0 |
| 25.55 | 89.9 |
| 37.43 | 77.9 |
| 30.39 | 72.3 |
| 30.83 | 67.1 |
| 28.78 | 56.8 |
| 38.64 | 55.4 |
| 55.35 | 39.2 |

Cell and atoms:
```
data_La3Pr4Cd
_cell_length_a 6.487
_cell_length_b 9.101
_cell_length_c 9.901
_cell_angle_alpha 90.00
_cell_angle_beta 90.00
_cell_angle_gamma 90.00
_symmetry_space_group_name_H-M 'I m m 2'
_symmetry_Int_Tables_number 44
_symmetry_space_group_name_Hall 'I 2 -2'
loop_
_atom_site_label
_atom_site_type_symbol
_atom_site_fract_x
_atom_site_fract_y
_atom_site_fract_z
La1 La 0.000 0.000 0.000
La2 La 0.000 0.167 0.662
Pr1 Pr 0.000 0.329 0.370
Pr2 Pr 0.240 0.500 0.804
Cd1 Cd 0.000 0.500 0.086
```

Record 2
Theoretical PXRD pattern
Compound: La8Pr3Cd
Radiation: Cu Ka
Structure: a PBE-relaxed structure
Intensities are scaled so that the largest is 100.

Peak list (8 most intense, 10 to 90 degrees two-theta, in order of falling intensity)
| 2θ/deg | I_rel |
| --- | --- |
| 29.73 | 100.0 |
| 33.97 | 35.3 |
| 49.90 | 22.5 |
| 35.42 | 15.2 |
| 58.14 | 14.8 |
| 58.26 | 14.0 |
| 60.12 | 12.1 |
| 48.72 | 6.5 |

Cell and atoms:
```
data_La8Pr3Cd
_cell_length_a 10.800
_cell_length_b 3.738
_cell_length_c 11.176
_cell_angle_alpha 90.00
_cell_angle_beta 110.20
_cell_angle_gamma 90.00
_symmetry_space_group_name_H-M 'P 1 m 1'
_symmetry_Int_Tables_number 6
_symmetry_space_group_name_Hall 'P -2y'
loop_
_atom_site_label
_atom_site_type_symbol
_atom_site_fract_x
_atom_site_fract_y
_atom_site_fract_z
La1 La 0.000 0.000 0.000
La2 La 0.001 0.000 0.316
La3 La 0.236 0.500 0.572
La4 La 0.466 0.000 0.153
La5 La 0.731 0.500 0.071
La6 La 0.738 0.500 0.397
La7 La 0.740 0.500 0.737
La8 La 0.982 0.000 0.648
Pr1 Pr 0.236 0.500 0.891
Pr2 Pr 0.478 0.000 0.474
Pr3 Pr 0.489 0.000 0.817
Cd1 Cd 0.238 0.500 0.240
```

Record 3
Theoretical PXRD pattern
Compound: LaPr3Cd3
Radiation: Cu Ka
Structure: a PBE-relaxed structure
Intensities are scaled so that the largest is 100.

Peak list (8 most intense, 10 to 90 degrees two-theta, in order of falling intensity)
| 2θ/deg | I_rel |
| --- | --- |
| 33.12 | 100.0 |
| 33.92 | 26.9 |
| 29.90 | 26.2 |
| 24.77 | 21.8 |
| 31.91 | 20.0 |
| 54.89 | 11.8 |
| 32.51 | 11.6 |
| 58.61 | 9.7 |

Cell and atoms:
```
data_LaPr3Cd3
_cell_length_a 8.3350
_cell_length_b 8.3350
_cell_length_c 21.3082
_cell_angle_alpha 90.00
_cell_angle_beta 90.00
_cell_angle_gamma 120.00
_symmetry_space_group_name_H-M 'R -3'
_symmetry_Int_Tables_number 148
_symmetry_space_group_name_Hall '-R 3'
loop_
_atom_site_label
_atom_site_type_symbol
_atom_site_fract_x
_atom_site_fract_y
_atom_site_fract_z
La1 La 0.0000 0.0000 0.1579
Pr1 Pr 0.0457 0.5880 0.3777
Cd1 Cd 0.0095 0.7854 0.5558
```

Record 4
Theoretical PXRD pattern
Compound: La3Pr3Cd
Radiation: Cu Ka
Structure: a PBE-relaxed structure
Intensities are scaled so that the largest is 100.

Peak list (8 most intense, 10 to 90 degrees two-theta, in order of falling intensity)
| 2θ/deg | I_rel |
| --- | --- |
| 32.02 | 100.0 |
| 30.73 | 25.5 |
| 28.00 | 24.1 |
| 59.43 | 21.1 |
| 55.45 | 20.8 |
| 49.54 | 18.3 |
| 42.05 | 16.0 |
| 60.21 | 14.7 |

Cell and atoms:
```
data_La3Pr3Cd
_cell_length_a 9.729
_cell_length_b 5.820
_cell_length_c 9.737
_cell_angle_alpha 90.00
_cell_angle_beta 119.92
_cell_angle_gamma 90.00
_symmetry_space_group_name_H-M 'P 1 21/m 1'
_symmetry_Int_Tables_number 11
_symmetry_space_group_name_Hall '-P 2yb'
loop_
_atom_site_label
_atom_site_type_symbol
_atom_site_fract_x
_atom_site_fract_y
_atom_site_fract_z
La1 La 0.019 0.250 0.388
La2 La 0.131 0.750 0.021
La3 La 0.389 0.750 0.869
Pr1 Pr 0.254 0.750 0.438
Pr2 Pr 0.317 0.250 0.254
Pr3 Pr 0.437 0.250 0.683
Cd1 Cd 0.166 0.250 0.834
```